This entry pairs a crystal structure of TmSc4O with its computed X-ray diffraction stick pattern. Radiation: Cu Ka. Structure: DFT lattice parameters and positions (GGA-PBE).
No peak broadening, texture or thermal motion is included.

Largest 12 diffraction maxima, by angle, 15 to 90 degrees two-theta:
| Position (°2θ) | Rel. int. | h k l |
| --- | --- | --- |
| 23.94 | 34 | 0 0 2 |
| 24.29 | 64 | 1 1 1 |
| 30.01 | 50 | 2 0 0 |
| 32.11 | 100 | 1 1 2 |
| 32.38 | 80 | 2 0 1 |
| 42.31 | 40 | 1 1 3 |
| 42.95 | 32 | 2 2 0 |
| 44.73 | 15 | 2 2 1 |
| 49.95 | 38 | 3 1 1 |
| 54.62 | 25 | 3 1 2 |
| 61.87 | 40 | 3 1 3 |
| 70.78 | 26 | 2 0 5 |

Structural model:
a b c (Å): 5.9560 5.9560 7.4356
angles (deg): 90.00 90.00 90.00
Space group P4/mbm (No. 127)
Asymmetric unit:
Tm (0.0000, 0.5000, 0.0000) (multiplicity 2)
Sc (0.0000, 0.0000, 0.2054) (multiplicity 4)
Sc (0.1706, 0.3294, 0.5000) (multiplicity 4)
O (0.0000, 0.0000, 0.5000) (multiplicity 2)